The following is a simulated PXRD pattern of TbReB4. It was derived from the PBE geometry in the Materials Project, using λ = 1.5418 Å (Cu Kα).

Principal peaks in the range 2θ from 10° to 80°, sorted by position:
d [Å], two_theta, I/Imax, index
3.630, 24.53, 98, 0 0 1
2.897, 30.86, 84, 0 4 0
2.607, 34.40, 26, 1 4 0
2.419, 37.17, 15, 1 3 1
2.366, 38.04, 34, 2 3 0
2.264, 39.81, 100, 0 4 1
2.118, 42.70, 33, 1 4 1
1.982, 45.78, 46, 2 3 1
1.815, 50.28, 21, 0 0 2
1.538, 60.17, 26, 0 4 2

Structure:
a b c (Å): 5.9855 11.5857 3.6296
angles (deg): 90.00 90.00 90.00
Atoms (fractional coordinates):
Tb (0.1260, 0.1503, 0.0000)
Tb (0.3740, 0.6503, 0.0000)
Tb (0.6260, 0.3497, 0.0000)
Tb (0.8740, 0.8497, 0.0000)
Re (0.1320, 0.4127, 0.0000)
Re (0.3680, 0.9127, 0.0000)
Re (0.6320, 0.0873, 0.0000)
Re (0.8680, 0.5873, 0.0000)
B (0.0226, 0.6917, 0.5000)
B (0.1135, 0.5470, 0.5000)
B (0.1366, 0.9685, 0.5000)
B (0.2130, 0.8155, 0.5000)
B (0.2870, 0.3155, 0.5000)
B (0.3634, 0.4685, 0.5000)
B (0.3865, 0.0470, 0.5000)
B (0.4774, 0.1917, 0.5000)
B (0.5226, 0.8083, 0.5000)
B (0.6135, 0.9530, 0.5000)
B (0.6366, 0.5315, 0.5000)
B (0.7130, 0.6845, 0.5000)
B (0.7870, 0.1845, 0.5000)
B (0.8634, 0.0315, 0.5000)
B (0.8865, 0.4530, 0.5000)
B (0.9774, 0.3083, 0.5000)